# 1
Computed PXRD pattern of Sm4SnGe2 for a wavelength of 1.5418 Å, from a cell relaxed with PBE.
Intensities are scaled so that the largest is 1000.

Crystal structure
a b c (Å): 7.9770 7.9770 7.9770
angles (deg): 109.23 109.23 109.95
Fractional coordinates of all 14 atoms:
Sm: 0.1312 0.7426 0.7446
Sm: 0.1366 0.2480 0.7554
Sm: 0.2574 0.0020 0.3886
Sm: 0.4926 0.3812 0.2446
Sm: 0.6134 0.8688 0.6114
Sm: 0.6188 0.8634 0.1114
Sm: 0.7520 0.5074 0.8886
Sm: 0.9980 0.3866 0.2554
Sn: 0.0000 0.0000 0.0000
Sn: 0.7500 0.2500 0.5000
Ge: 0.2478 0.6250 0.1228
Ge: 0.3750 0.4978 0.6228
Ge: 0.5022 0.1250 0.8772
Ge: 0.8750 0.7522 0.3772

Principal peaks in the range 2θ = 5–70°, sorted by position:
Position (°2θ)  d_spacing  I/Imax
27.43  3.252  161
30.62  2.920  1000
30.85  2.898  546
36.45  2.465  765
36.61  2.455  191
48.34  1.883  156
50.38  1.811  173
50.66  1.802  153
61.95  1.498  168
63.74  1.460  144



# 2
Computed PXRD pattern of SrSmGe4 for a wavelength of 1.5418 Å, from a cell relaxed with PBE.
Intensities are scaled so that the largest is 1000.

Crystal structure
a b c (Å): 7.8114 17.8387 4.3821
angles (deg): 90.00 90.00 90.00
Fractional coordinates of all 24 atoms:
Sr: 0.1260 0.1653 0.0000
Sr: 0.3740 0.6653 0.0000
Sr: 0.6260 0.3347 0.0000
Sr: 0.8740 0.8347 0.0000
Sm: 0.1277 0.4117 0.0000
Sm: 0.3723 0.9117 0.0000
Sm: 0.6277 0.0883 0.0000
Sm: 0.8723 0.5883 0.0000
Ge: 0.0400 0.6857 0.5000
Ge: 0.1007 0.9399 0.5000
Ge: 0.1461 0.5373 0.5000
Ge: 0.2150 0.8050 0.5000
Ge: 0.2850 0.3050 0.5000
Ge: 0.3539 0.0373 0.5000
Ge: 0.3993 0.4399 0.5000
Ge: 0.4600 0.1857 0.5000
Ge: 0.5400 0.8143 0.5000
Ge: 0.6007 0.5601 0.5000
Ge: 0.6461 0.9627 0.5000
Ge: 0.7150 0.6950 0.5000
Ge: 0.7850 0.1950 0.5000
Ge: 0.8539 0.4627 0.5000
Ge: 0.8993 0.0601 0.5000
Ge: 0.9600 0.3143 0.5000

Principal peaks in the range 2θ = 5–70°, sorted by position:
Position (°2θ)  d_spacing  I/Imax
12.37  7.155  293
15.08  5.876  252
28.56  3.126  352
30.81  2.902  575
31.08  2.878  1000
34.25  2.618  616
34.39  2.608  499
40.10  2.249  306
41.20  2.191  489
58.85  1.569  196